Structure and computed XRD peak list of Mn3IBr7 (a DFT-relaxed cell (GGA-PBE, Alexandria); λ = 1.5418 Å (Cu Kα)).
Lines closer than 0.1° are merged.

The 6 most intense peaks (2θ from 10° to 80°), low angle first:
2θ 12.67, d 6.986, intensity 83
2θ 28.91, d 3.088, intensity 55
2θ 31.07, d 2.878, intensity 100
2θ 33.70, d 2.660, intensity 51
2θ 39.28, d 2.294, intensity 37
2θ 45.63, d 1.988, intensity 33

Cell and atoms:
Cell: 7.734 7.734 8.853 Å, 122.36 122.36 58.73°
Fractional positions:
1 Mn 0.000 0.000 0.000
2 Mn 0.503 0.998 0.998
3 Mn 0.998 0.503 0.998
4 I 0.285 0.285 0.270
5 Br 0.228 0.768 0.196
6 Br 0.233 0.774 0.805
7 Br 0.240 0.240 0.799
8 Br 0.731 0.731 0.764
9 Br 0.762 0.762 0.202
10 Br 0.768 0.228 0.196
11 Br 0.774 0.233 0.805

Structure and computed XRD peak list of MnTlI2Br (a DFT-relaxed cell (GGA-PBE, Alexandria); λ = 1.5418 Å (Cu Kα)).
Lines closer than 0.1° are merged.

The 6 most intense peaks (2θ from 10° to 80°), low angle first:
2θ 26.91, d 3.314, intensity 34
2θ 27.38, d 3.257, intensity 100
2θ 29.22, d 3.057, intensity 39
2θ 32.91, d 2.721, intensity 39
2θ 39.86, d 2.261, intensity 29
2θ 44.58, d 2.033, intensity 29

Cell and atoms:
Cell: 8.185 8.185 8.185 Å, 123.90 123.90 83.36°
Fractional positions:
1 Mn 0.000 0.000 0.000
2 Mn 0.500 0.500 0.000
3 Tl 0.209 0.709 0.500
4 Tl 0.709 0.209 0.500
5 I 0.138 0.264 0.500
6 I 0.264 0.764 0.125
7 I 0.638 0.138 0.875
8 I 0.764 0.638 0.500
9 Br 0.203 0.203 0.000
10 Br 0.703 0.703 0.000